Diffraction record for MnCrInO4. The powder diffraction line list is calculated, not measured: it uses a GGA+U-relaxed structure and Cu Kα (weighted mean of Kα1 and Kα2).

The 10 most intense peaks (2θ = 10–80°), in order of rising 2θ:
| two_theta | I_rel | h k l |
| --- | --- | --- |
| 17.44 | 55.3 | 1 0 1 |
| 28.36 | 18.1 | 1 1 2 |
| 28.84 | 18.5 | 2 0 0 |
| 33.20 | 100.0 | 1 2 1 |
| 33.42 | 43.3 | 1 0 3 |
| 33.73 | 28.6 | 2 1 1 |
| 34.61 | 18.7 | 0 2 2 |
| 40.65 | 31.3 | 2 2 0 |
| 53.93 | 22.7 | 3 2 1 |
| 58.68 | 48.7 | 2 2 4 |

Cell: 6.1905 6.3691 8.9231 Å, 90.00 90.00 90.00°
Space group Imma (No. 74)
Unique sites:
Mn1 0.0000 0.2500 0.1252 [4 per cell]
Cr1 0.2500 0.2500 0.7500 [4 per cell]
In1 0.0000 0.0000 0.5000 [4 per cell]
O1 0.0000 0.0331 0.7465 [8 per cell]
O2 0.2386 0.2500 0.5203 [8 per cell]